# K4Sb2O5
Calculated X-ray diffraction stick pattern, Cu Kα (weighted mean of Kα1 and Kα2). Input: the GGA-PBE geometry in Alexandria.
Lines closer than 0.1° are merged.

Main lines, by angle (10 to 90 degrees two-theta):
(hkl), Position (°2θ), d [Å], intensity
2 1 0, 16.7, 5.302, 37
1 0 2, 22.7, 3.919, 17
0 2 0, 27.6, 3.231, 26
6 0 0, 28.9, 3.091, 20
3 1 2, 29.9, 2.984, 100
6 2 0, 40.4, 2.234, 28
3 3 2, 50.3, 1.814, 21
9 1 2, 51.8, 1.763, 17

```
K4Sb2O5
1.0
18.547 0.000 0.000
0.000 6.462 0.000
0.000 0.000 8.020
K Sb O
16 8 20
Direct
0.012 0.250 0.126
0.014 0.250 0.624
0.151 0.750 0.126
0.152 0.750 0.624
0.348 0.250 0.124
0.349 0.250 0.626
0.486 0.750 0.124
0.488 0.750 0.626
0.512 0.250 0.374
0.514 0.250 0.876
0.651 0.750 0.374
0.652 0.750 0.876
0.848 0.250 0.376
0.849 0.250 0.874
0.986 0.750 0.376
0.988 0.750 0.874
0.166 0.250 0.380
0.166 0.250 0.870
0.334 0.750 0.370
0.334 0.750 0.880
0.666 0.250 0.120
0.666 0.250 0.630
0.834 0.750 0.130
0.834 0.750 0.620
0.098 0.022 0.376
0.098 0.022 0.874
0.098 0.478 0.376
0.098 0.478 0.874
0.197 0.250 0.625
0.303 0.750 0.125
0.402 0.522 0.374
0.402 0.522 0.876
0.402 0.978 0.374
0.402 0.978 0.876
0.598 0.022 0.124
0.598 0.022 0.626
0.598 0.478 0.124
0.598 0.478 0.626
0.697 0.250 0.875
0.803 0.750 0.375
0.902 0.522 0.126
0.902 0.522 0.624
0.902 0.978 0.126
0.902 0.978 0.624
```